1.
Structure and theoretical XRD peak list of BaNpMo2O8 (a crystal structure in Alexandria, relaxed with GGA+U; Cu Kα (λ = 1.5418 Å)).
Peak positions follow from Bragg's law for the DFT cell and can differ from measured ones.

Structure:
a = 5.9967 Å, b = 5.9967 Å, c = 7.5243 Å
α = 90.00°, β = 90.00°, γ = 120.00°
Space group P-3 (No. 147)
One atom of each set of equivalent atoms:
Ba 0.0000 0.0000 0.0000 (multiplicity 1)
Np 0.0000 0.0000 0.5000 (multiplicity 1)
Mo 0.3333 0.6667 0.7706 (multiplicity 2)
O 0.1595 0.8385 0.6884 (multiplicity 6)
O 0.3333 0.6667 0.0087 (multiplicity 2)

Main lines, low angle first (15 to 90 degrees two-theta):
2θ = 17.07°, intensity 71, (1 0 0)
2θ = 20.78°, intensity 74, (0 1 1)
2θ = 29.31°, intensity 100, (1 0 2)
2θ = 29.80°, intensity 83, (1 1 0)
2θ = 42.29°, intensity 48, (0 2 2)
2θ = 47.89°, intensity 16, (1 2 1)
2θ = 52.59°, intensity 42, (2 1 2)
2θ = 52.89°, intensity 17, (3 0 0)
2θ = 57.87°, intensity 25, (2 -1 4)
2θ = 69.94°, intensity 18, (1 3 2)

2.
Structure and theoretical XRD peak list of Ba2MoO4 (a crystal structure in Alexandria, relaxed with GGA+U; Cu Kα (λ = 1.5418 Å)).
Peak positions follow from Bragg's law for the DFT cell and can differ from measured ones.

Structure:
a = 8.190 Å, b = 8.367 Å, c = 27.250 Å
α = 90.00°, β = 90.00°, γ = 90.00°
Space group Fddd (No. 70, origin choice 2)
One atom of each set of equivalent atoms:
Ba 0.125 0.125 0.301 (multiplicity 16)
Ba 0.125 0.125 0.448 (multiplicity 16)
Mo 0.125 0.125 0.125 (multiplicity 8)
Mo 0.125 0.125 0.625 (multiplicity 8)
O 0.124 0.375 0.875 (multiplicity 16)
O 0.125 0.125 0.046 (multiplicity 16)
O 0.125 0.125 0.549 (multiplicity 16)
O 0.125 0.370 0.125 (multiplicity 16)

Main lines, low angle first (15 to 90 degrees two-theta):
2θ = 29.02°, intensity 84, (0 2 6)
2θ = 29.37°, intensity 81, (2 0 6)
2θ = 30.55°, intensity 100, (2 2 0)
2θ = 39.70°, intensity 29, (0 0 12)
2θ = 40.65°, intensity 23, (2 2 8)
2θ = 43.25°, intensity 26, (0 4 0)
2θ = 44.24°, intensity 24, (4 0 0)
2θ = 50.90°, intensity 30, (2 2 12)
2θ = 53.14°, intensity 31, (2 4 6)
2θ = 53.78°, intensity 35, (4 2 6)

3.
Structure and theoretical XRD peak list of Ba2Mo3O7 (a crystal structure in Alexandria, relaxed with GGA+U; Cu Kα (λ = 1.5418 Å)).
Peak positions follow from Bragg's law for the DFT cell and can differ from measured ones.

Structure:
a = 4.050 Å, b = 4.089 Å, c = 11.852 Å
α = 90.00°, β = 90.00°, γ = 90.00°
Space group Pmmm (No. 47)
One atom of each set of equivalent atoms:
Ba 0.000 0.000 0.197 (multiplicity 2)
Mo 0.500 0.500 0.000 (multiplicity 1)
Mo 0.500 0.500 0.368 (multiplicity 2)
O 0.000 0.500 0.353 (multiplicity 2)
O 0.500 0.000 0.000 (multiplicity 1)
O 0.500 0.000 0.354 (multiplicity 2)
O 0.500 0.500 0.172 (multiplicity 2)

Main lines, low angle first (15 to 90 degrees two-theta):
2θ = 26.48°, intensity 37, (0 1 2)
2θ = 26.66°, intensity 48, (1 0 2)
2θ = 31.08°, intensity 100, (1 1 0)
2θ = 31.49°, intensity 68, (0 1 3)
2θ = 31.64°, intensity 78, (1 0 3)
2θ = 37.96°, intensity 29, (0 0 5)
2θ = 44.30°, intensity 32, (0 2 0)
2θ = 44.75°, intensity 31, (2 0 0)
2θ = 49.84°, intensity 43, (1 1 5)
2θ = 55.46°, intensity 31, (1 2 3)

4.
Structure and theoretical XRD peak list of Ba2MoO5 (a crystal structure in Alexandria, relaxed with GGA+U; Cu Kα (λ = 1.5418 Å)).
Peak positions follow from Bragg's law for the DFT cell and can differ from measured ones.

Structure:
a = 4.471 Å, b = 11.901 Å, c = 12.264 Å
α = 90.00°, β = 90.22°, γ = 90.16°
Space group P1 (No. 1)
One atom of each set of equivalent atoms:
Ba 0.000 0.000 0.000 (multiplicity 1)
Ba 0.003 0.027 0.353 (multiplicity 1)
Ba 0.008 0.527 0.282 (multiplicity 1)
Ba 0.019 0.500 0.634 (multiplicity 1)
Ba 0.506 0.230 0.133 (multiplicity 1)
Ba 0.518 0.703 0.852 (multiplicity 1)
Ba 0.520 0.203 0.781 (multiplicity 1)
Ba 0.531 0.730 0.500 (multiplicity 1)
Mo 0.102 0.932 0.693 (multiplicity 1)
Mo 0.425 0.797 0.193 (multiplicity 1)
Mo 0.428 0.298 0.441 (multiplicity 1)
Mo 0.936 0.432 0.941 (multiplicity 1)
O 0.006 0.890 0.556 (multiplicity 1)
O 0.010 0.836 0.804 (multiplicity 1)
O 0.012 0.119 0.174 (multiplicity 1)
O 0.019 0.577 0.907 (multiplicity 1)
O 0.020 0.077 0.727 (multiplicity 1)
O 0.025 0.619 0.460 (multiplicity 1)
O 0.026 0.803 0.194 (multiplicity 1)
O 0.028 0.336 0.830 (multiplicity 1)
O 0.030 0.304 0.440 (multiplicity 1)
O 0.032 0.391 0.078 (multiplicity 1)
O 0.501 0.926 0.694 (multiplicity 1)
O 0.508 0.153 0.407 (multiplicity 1)
O 0.509 0.111 0.960 (multiplicity 1)
O 0.510 0.653 0.227 (multiplicity 1)
O 0.516 0.894 0.304 (multiplicity 1)
O 0.519 0.840 0.056 (multiplicity 1)
O 0.520 0.394 0.330 (multiplicity 1)
O 0.521 0.611 0.674 (multiplicity 1)
O 0.526 0.340 0.578 (multiplicity 1)
O 0.538 0.426 0.940 (multiplicity 1)

Main lines, low angle first (15 to 90 degrees two-theta):
2θ = 23.00°, intensity 25, (0 1 3)
2θ = 24.92°, intensity 100, (1 2 0)
2θ = 26.45°, intensity 73, (0 2 -3)
2θ = 26.77°, intensity 24, (0 3 2)
2θ = 29.55°, intensity 23, (1 0 -3)
2θ = 29.67°, intensity 17, (1 0 3)
2θ = 30.94°, intensity 21, (0 4 -1)
2θ = 37.43°, intensity 16, (1 3 -3)
2θ = 40.35°, intensity 22, (2 0 0)
2θ = 42.66°, intensity 18, (1 4 -3)

5.
Structure and theoretical XRD peak list of BaMo3O10 (a crystal structure in Alexandria, relaxed with GGA+U; Cu Kα (λ = 1.5418 Å)).
Peak positions follow from Bragg's law for the DFT cell and can differ from measured ones.

Structure:
a = 7.329 Å, b = 7.692 Å, c = 15.399 Å
α = 90.00°, β = 106.46°, γ = 90.00°
Space group P2_1/c (No. 14)
One atom of each set of equivalent atoms:
Ba 0.165 0.136 0.317 (multiplicity 4)
Mo 0.290 0.136 0.604 (multiplicity 4)
Mo 0.338 0.646 0.635 (multiplicity 4)
Mo 0.352 0.627 0.416 (multiplicity 4)
O 0.112 0.154 0.660 (multiplicity 4)
O 0.130 0.609 0.668 (multiplicity 4)
O 0.160 0.132 0.490 (multiplicity 4)
O 0.186 0.605 0.310 (multiplicity 4)
O 0.205 0.641 0.494 (multiplicity 4)
O 0.341 0.611 0.122 (multiplicity 4)
O 0.375 0.117 0.116 (multiplicity 4)
O 0.428 0.639 0.909 (multiplicity 4)
O 0.432 0.116 0.931 (multiplicity 4)
O 0.482 0.143 0.759 (multiplicity 4)

Main lines, low angle first (15 to 90 degrees two-theta):
2θ = 24.10°, intensity 36, (0 0 4)
2θ = 25.34°, intensity 23, (2 0 0)
2θ = 26.28°, intensity 100, (1 2 -1)
2θ = 26.78°, intensity 34, (0 1 4)
2θ = 27.46°, intensity 18, (1 1 3)
2θ = 27.91°, intensity 46, (2 1 0)
2θ = 29.72°, intensity 31, (2 0 -4)
2θ = 30.01°, intensity 34, (1 2 -3)
2θ = 42.20°, intensity 23, (1 0 6)
2θ = 47.27°, intensity 26, (0 4 0)

6.
Structure and theoretical XRD peak list of BaMo4P2O16 (a crystal structure in Alexandria, relaxed with GGA+U; Cu Kα (λ = 1.5418 Å)).
Peak positions follow from Bragg's law for the DFT cell and can differ from measured ones.

Structure:
a = 7.602 Å, b = 7.602 Å, c = 11.441 Å
α = 90.00°, β = 90.00°, γ = 90.00°
Space group I-42m (No. 121)
One atom of each set of equivalent atoms:
Ba 0.000 0.000 0.000 (multiplicity 2)
Mo 0.122 0.122 0.372 (multiplicity 8)
P 0.000 0.500 0.000 (multiplicity 4)
O 0.113 0.375 0.923 (multiplicity 16)
O 0.130 0.130 0.585 (multiplicity 8)
O 0.141 0.141 0.223 (multiplicity 8)

Main lines, low angle first (15 to 90 degrees two-theta):
2θ = 15.49°, intensity 42, (0 0 2)
2θ = 16.49°, intensity 86, (1 1 0)
2θ = 22.70°, intensity 49, (1 1 2)
2θ = 26.14°, intensity 92, (1 0 3)
2θ = 27.37°, intensity 100, (2 1 1)
2θ = 36.31°, intensity 47, (3 0 1)
2θ = 40.71°, intensity 36, (3 1 2)
2θ = 41.20°, intensity 37, (1 0 5)
2θ = 47.90°, intensity 35, (4 0 0)
2θ = 50.12°, intensity 35, (4 1 1)

7.
Structure and theoretical XRD peak list of BaMo2P3O14 (a crystal structure in Alexandria, relaxed with GGA+U; Cu Kα (λ = 1.5418 Å)).
Peak positions follow from Bragg's law for the DFT cell and can differ from measured ones.

Structure:
a = 13.456 Å, b = 9.872 Å, c = 8.800 Å
α = 90.00°, β = 99.54°, γ = 90.00°
Space group Cc (No. 9)
One atom of each set of equivalent atoms:
Ba 0.000 0.036 0.000 (multiplicity 4)
Mo 0.158 0.353 0.332 (multiplicity 4)
Mo 0.352 0.162 0.161 (multiplicity 4)
P 0.218 0.101 0.810 (multiplicity 4)
P 0.278 0.378 0.699 (multiplicity 4)
P 0.497 0.070 0.500 (multiplicity 4)
O 0.055 0.460 0.428 (multiplicity 4)
O 0.066 0.344 0.124 (multiplicity 4)
O 0.106 0.089 0.750 (multiplicity 4)
O 0.116 0.200 0.393 (multiplicity 4)
O 0.194 0.443 0.770 (multiplicity 4)
O 0.232 0.138 0.984 (multiplicity 4)
O 0.258 0.394 0.520 (multiplicity 4)
O 0.263 0.297 0.243 (multiplicity 4)
O 0.271 0.218 0.724 (multiplicity 4)
O 0.278 0.024 0.280 (multiplicity 4)
O 0.385 0.424 0.753 (multiplicity 4)
O 0.417 0.004 0.582 (multiplicity 4)
O 0.417 0.283 0.076 (multiplicity 4)
O 0.450 0.175 0.377 (multiplicity 4)

Main lines, low angle first (15 to 90 degrees two-theta):
2θ = 20.70°, intensity 33, (0 2 1)
2θ = 22.02°, intensity 33, (3 1 0)
2θ = 22.41°, intensity 53, (2 2 0)
2θ = 22.85°, intensity 56, (3 1 -1)
2θ = 23.76°, intensity 75, (2 2 -1)
2θ = 26.34°, intensity 100, (2 0 2)
2θ = 27.93°, intensity 22, (1 3 0)
2θ = 28.98°, intensity 22, (2 2 -2)
2θ = 31.10°, intensity 31, (4 0 -2)
2θ = 38.14°, intensity 23, (5 1 1)

8.
Structure and theoretical XRD peak list of BaMo2P4O14 (a crystal structure in Alexandria, relaxed with GGA+U; Cu Kα (λ = 1.5418 Å)).
Peak positions follow from Bragg's law for the DFT cell and can differ from measured ones.

Structure:
a = 11.024 Å, b = 10.888 Å, c = 10.089 Å
α = 90.00°, β = 103.92°, γ = 90.00°
Space group C2/c (No. 15)
One atom of each set of equivalent atoms:
Ba 0.250 0.250 0.000 (multiplicity 4)
Mo 0.000 0.000 0.000 (multiplicity 4)
Mo 0.000 0.454 0.250 (multiplicity 4)
P 0.057 0.310 0.557 (multiplicity 8)
P 0.224 0.045 0.300 (multiplicity 8)
O 0.020 0.179 0.589 (multiplicity 8)
O 0.037 0.399 0.901 (multiplicity 8)
O 0.063 0.324 0.410 (multiplicity 8)
O 0.139 0.085 0.163 (multiplicity 8)
O 0.157 0.010 0.409 (multiplicity 8)
O 0.184 0.442 0.210 (multiplicity 8)
O 0.194 0.331 0.658 (multiplicity 8)

Main lines, low angle first (15 to 90 degrees two-theta):
2θ = 23.20°, intensity 100, (1 1 2)
2θ = 23.31°, intensity 55, (2 2 0)
2θ = 24.45°, intensity 76, (0 2 2)
2θ = 25.77°, intensity 42, (3 1 -1)
2θ = 26.82°, intensity 59, (1 3 -1)
2θ = 27.82°, intensity 69, (1 1 -3)
2θ = 28.39°, intensity 63, (3 1 -2)
2θ = 32.95°, intensity 70, (0 4 0)
2θ = 33.49°, intensity 60, (4 0 0)
2θ = 42.63°, intensity 39, (3 1 3)